Sc4AsP: calculated X-ray powder pattern (Cu Kα (weighted mean of Kα1 and Kα2)), based on a crystal structure in Alexandria, relaxed with GGA-PBE.

Peak list (6 most intense, 10° ≤ 2θ ≤ 80°, in order of falling intensity)
2θ 35.70, I = 100; 2θ 26.58, I = 70; 2θ 43.59, I = 43; 2θ 35.89, I = 40; 2θ 16.10, I = 38; 2θ 22.01, I = 37

Structure:
Cell lengths 7.653, 7.653, 6.284 Å; angles 107.24, 107.24, 118.68 degrees
Sites, in units of the cell vectors:
Sc 0.094 0.670 0.905
Sc 0.213 0.315 0.743
Sc 0.315 0.213 0.243
Sc 0.330 0.906 0.595
Sc 0.670 0.094 0.405
Sc 0.685 0.787 0.757
Sc 0.787 0.685 0.257
Sc 0.906 0.330 0.095
As 0.383 0.617 0.250
As 0.617 0.383 0.750
P 0.062 0.938 0.750
P 0.938 0.062 0.250